This entry pairs a crystal structure of Rb2PaPt2S4 with its computed powder X-ray diffraction pattern. Radiation: Cu Ka. Structure: a DFT-relaxed cell (GGA-PBE, Alexandria).
Peak positions follow from Bragg's law for the DFT cell and can differ from measured ones.

Crystal structure
a = 7.687 Å, b = 7.687 Å, c = 8.084 Å
α = 107.92°, β = 107.92°, γ = 29.56°
Fractional positions:
Rb  0.132  0.132  0.069
Rb  0.868  0.868  0.931
Pa  0.000  0.000  0.500
Pt  0.305  0.305  0.458
Pt  0.695  0.695  0.542
S  0.184  0.184  0.692
S  0.481  0.481  0.720
S  0.519  0.519  0.280
S  0.816  0.816  0.308

The 8 most intense peaks (2θ from 5° to 70°), low angle first:
| 2θ/deg | I (rel.) |
| --- | --- |
| 11.5 | 1000 |
| 23.2 | 281 |
| 29.6 | 509 |
| 31.1 | 181 |
| 33.9 | 350 |
| 34.1 | 277 |
| 41.4 | 154 |
| 51.0 | 192 |


This entry pairs a crystal structure of Li5ThIn4 with its computed powder X-ray diffraction pattern. Radiation: Cu Ka. Structure: a DFT-relaxed cell (GGA-PBE, Alexandria).
Peak positions follow from Bragg's law for the DFT cell and can differ from measured ones.

Crystal structure
a = 3.291 Å, b = 3.551 Å, c = 17.677 Å
α = 90.00°, β = 90.00°, γ = 90.00°
Fractional positions:
Li  0.000  0.000  0.000
Li  0.000  0.000  0.188
Li  0.000  0.000  0.369
Li  0.000  0.000  0.631
Li  0.000  0.000  0.812
Th  0.500  0.500  0.500
In  0.500  0.500  0.093
In  0.500  0.500  0.287
In  0.500  0.500  0.713
In  0.500  0.500  0.907

The 8 most intense peaks (2θ from 5° to 70°), low angle first:
| 2θ/deg | I (rel.) |
| --- | --- |
| 25.1 | 629 |
| 25.2 | 589 |
| 27.1 | 546 |
| 35.8 | 535 |
| 37.3 | 1000 |
| 45.5 | 481 |
| 62.2 | 192 |
| 65.3 | 182 |


This entry pairs a crystal structure of Dy2Si2Pt5 with its computed powder X-ray diffraction pattern. Radiation: Cu Ka. Structure: a DFT-relaxed cell (GGA-PBE, Alexandria).
Peak positions follow from Bragg's law for the DFT cell and can differ from measured ones.

Crystal structure
a = 4.181 Å, b = 4.181 Å, c = 8.964 Å
α = 90.00°, β = 90.00°, γ = 90.00°
Fractional positions:
Dy  0.000  0.000  0.000
Dy  0.000  0.000  0.500
Si  0.500  0.500  0.131
Si  0.500  0.500  0.869
Pt  0.000  0.500  0.265
Pt  0.000  0.500  0.735
Pt  0.500  0.000  0.265
Pt  0.500  0.000  0.735
Pt  0.500  0.500  0.500

The 8 most intense peaks (2θ from 5° to 70°), low angle first:
| 2θ/deg | I (rel.) |
| --- | --- |
| 9.9 | 160 |
| 23.5 | 43 |
| 36.4 | 1000 |
| 40.2 | 163 |
| 43.0 | 82 |
| 43.3 | 348 |
| 60.6 | 199 |
| 62.9 | 116 |


This entry pairs a crystal structure of SrAcP2O8 with its computed powder X-ray diffraction pattern. Radiation: Cu Ka. Structure: a DFT-relaxed cell (GGA-PBE, Alexandria).
Peak positions follow from Bragg's law for the DFT cell and can differ from measured ones.

Crystal structure
a = 6.178 Å, b = 6.178 Å, c = 6.178 Å
α = 106.23°, β = 106.23°, γ = 116.18°
Fractional positions:
Sr  0.000  0.000  0.000
Ac  0.750  0.250  0.500
P  0.250  0.750  0.500
P  0.500  0.500  0.000
O  0.106  0.439  0.333
O  0.106  0.773  0.667
O  0.189  0.356  0.833
O  0.227  0.894  0.333
O  0.523  0.356  0.167
O  0.561  0.894  0.667
O  0.644  0.477  0.833
O  0.644  0.811  0.167

The 8 most intense peaks (2θ from 5° to 70°), low angle first:
| 2θ/deg | I (rel.) |
| --- | --- |
| 16.9 | 224 |
| 18.1 | 654 |
| 24.0 | 1000 |
| 30.2 | 358 |
| 32.3 | 708 |
| 39.0 | 238 |
| 46.3 | 265 |
| 47.7 | 536 |